HoGa4Ni4: computed PXRD pattern (Cu Kα (λ = 1.5418 Å)), based on a cell relaxed with GGA-PBE.
No peak broadening, texture or thermal motion is included.

Atomic structure:
Cell: 5.6014 5.6014 8.5324 Å, 90.00 90.00 90.00°
Space group P4_2/nmc (No. 137, origin choice 2)
One atom of each set of equivalent atoms:
Ho 0.2500 0.7500 0.2500 x2
Ga 0.0282 0.2500 0.0528 x8
Ni 0.0298 0.2500 0.3381 x8

The 10 most intense peaks (2θ = 15–90°), by intensity:
h k l  2θ/deg  d_spacing  intensity
2 1 1  37.42  2.404  100
2 0 3  45.47  1.995  61
1 0 3  35.40  2.536  38
1 1 2  30.80  2.903  24
4 0 0  66.81  1.400  16
2 2 0  45.82  1.980  15
3 0 3  59.20  1.561  15
2 2 2  50.83  1.796  13
3 2 4  75.74  1.256  13
4 2 3  84.54  1.146  13


Ho4GaNi2: computed PXRD pattern (Cu Kα (λ = 1.5418 Å)), based on a cell relaxed with GGA-PBE.
No peak broadening, texture or thermal motion is included.

Atomic structure:
Cell: 8.2753 14.4743 6.6892 Å, 90.00 127.95 90.00°
Space group Cc (No. 9)
One atom of each set of equivalent atoms:
Ho 0.0000 0.0331 0.0000 x4
Ho 0.0377 0.4640 0.8716 x4
Ho 0.0811 0.2609 0.1849 x4
Ho 0.2555 0.1753 0.8295 x4
Ga 0.2794 0.3673 0.7026 x4
Ni 0.2738 0.0887 0.4756 x4
Ni 0.3610 0.3337 0.1342 x4

The 10 most intense peaks (2θ = 15–90°), by intensity:
h k l  2θ/deg  d_spacing  intensity
3 1 -1  34.16  2.624  100
1 3 -2  33.34  2.688  98
1 5 -1  33.90  2.644  79
0 4 1  29.99  2.980  76
2 4 0  37.11  2.423  68
2 2 -2  30.16  2.964  47
0 2 2  36.25  2.478  45
1 1 1  28.23  3.161  39
2 2 -3  42.61  2.122  30
1 7 -1  46.06  1.970  26


Ho2Ga5Ni5: computed PXRD pattern (Cu Kα (λ = 1.5418 Å)), based on a cell relaxed with GGA-PBE.
No peak broadening, texture or thermal motion is included.

Atomic structure:
Cell: 3.8865 5.1811 9.2216 Å, 90.00 90.00 90.00°
Space group Pmmm (No. 47)
One atom of each set of equivalent atoms:
Ho 0.0000 0.0000 0.0000 x1
Ho 0.0000 0.5000 0.5000 x1
Ga 0.0000 0.0000 0.3139 x2
Ga 0.0000 0.5000 0.1672 x2
Ga 0.5000 0.0000 0.5000 x1
Ni 0.5000 0.2561 0.2538 x4
Ni 0.5000 0.5000 0.0000 x1

The 10 most intense peaks (2θ = 15–90°), by intensity:
h k l  2θ/deg  d_spacing  intensity
1 1 3  41.30  2.186  100
1 2 0  41.91  2.156  47
1 1 1  30.34  2.946  46
0 1 3  33.91  2.644  34
2 0 0  46.75  1.943  32
0 2 2  39.92  2.258  29
1 3 3  66.61  1.404  23
0 0 4  39.07  2.305  22
0 2 0  34.63  2.591  18
2 2 6  89.72  1.093  18